Li2TiCrO4: theoretical PXRD pattern (Cu Kα (weighted mean of Kα1 and Kα2)), based on DFT lattice parameters and positions (PBE+U).
Peak positions follow from Bragg's law for the DFT cell and can differ from measured ones.

Crystal structure
```
16
Lattice="-2.9538 2.9916 4.1939 2.9538 -2.9916 4.1939 2.9538 2.9916 -4.1939" Properties=species:S:1:pos:R:3 pbc="T T T"
Li 0.0000 0.0000 0.0000
Li -1.4769 1.4958 2.0970
Li 0.0000 2.9916 0.0000
Li 1.4769 1.4958 2.0970
Ti 1.4769 1.4958 -2.0970
Ti 1.4769 -1.4958 2.0970
Cr 2.9538 0.0000 0.0000
Cr 0.0000 0.0000 4.1939
O 2.9538 -0.0637 2.0420
O 1.5698 1.4958 -0.0467
O 4.3377 1.4958 -0.0467
O 2.9538 2.9279 -2.0420
O 0.0000 0.0637 6.2359
O -1.3839 1.4958 4.2406
O 1.3839 1.4958 4.2406
O 0.0000 3.0553 2.1519
```

Most intense lines, 15° ≤ 2θ ≤ 90°, by angle:
Position (°2θ), Rel. int.
18.21, 721
18.37, 947
35.29, 264
43.03, 1000
43.14, 497
62.57, 534